(1)
Theoretical X-ray diffraction stick pattern
Compound: Pr3B2Rh9Pb
Radiation: λ = 1.5418 Å (Cu Kα)
Structure: a crystal structure in Alexandria, relaxed with GGA-PBE
No peak broadening, texture or thermal motion is included.

Most intense lines, 10° ≤ 2θ ≤ 80°, in order of falling intensity:
- 40.48 deg, I 100
- 36.40 deg, I 86
- 62.71 deg, I 29
- 26.36 deg, I 20
- 40.13 deg, I 17
- 29.82 deg, I 16
- 46.60 deg, I 15
- 77.34 deg, I 15
- 77.11 deg, I 15
- 54.26 deg, I 14
- 17.28 deg, I 14
- 43.99 deg, I 13

Crystal structure
a = 5.9264 Å, b = 5.9264 Å, c = 8.9885 Å
α = 90.00°, β = 90.00°, γ = 120.00°
Fractional positions:
Pr (0.0000, 0.0000, 0.0000)
Pr (0.3333, 0.6667, 0.6660)
Pr (0.6667, 0.3333, 0.3340)
B (0.3333, 0.6667, 0.1415)
B (0.6667, 0.3333, 0.8585)
Rh (0.0000, 0.5000, 0.0000)
Rh (0.1655, 0.3311, 0.2659)
Rh (0.1655, 0.8345, 0.2659)
Rh (0.3311, 0.1655, 0.7341)
Rh (0.5000, 0.0000, 0.0000)
Rh (0.5000, 0.5000, 0.0000)
Rh (0.6689, 0.8345, 0.2659)
Rh (0.8345, 0.1655, 0.7341)
Rh (0.8345, 0.6689, 0.7341)
Pb (0.0000, 0.0000, 0.5000)

=====

(2)
Theoretical X-ray diffraction stick pattern
Compound: BPt2Pb
Radiation: λ = 1.5418 Å (Cu Kα)
Structure: a crystal structure in Alexandria, relaxed with GGA-PBE
No peak broadening, texture or thermal motion is included.

Most intense lines, 10° ≤ 2θ ≤ 80°, in order of falling intensity:
- 31.24 deg, I 100
- 38.56 deg, I 76
- 45.10 deg, I 53
- 35.28 deg, I 31
- 30.19 deg, I 23
- 55.32 deg, I 20
- 44.94 deg, I 19
- 62.77 deg, I 19
- 41.25 deg, I 18
- 74.45 deg, I 17
- 28.32 deg, I 17
- 65.62 deg, I 16

Crystal structure
a = 6.7173 Å, b = 6.7173 Å, c = 6.7173 Å
α = 129.87°, β = 64.62°, γ = 141.97°
Fractional positions:
B (0.1338, 0.2500, 0.3838)
B (0.8662, 0.7500, 0.6162)
Pt (0.1497, 0.1497, 0.0000)
Pt (0.1497, 0.6497, 0.5000)
Pt (0.3317, 0.2591, 0.5726)
Pt (0.6865, 0.7591, 0.4274)
Pb (0.5195, 0.8965, 0.1230)
Pb (0.7735, 0.3965, 0.8770)